Record 1
The following is a simulated powder X-ray diffraction pattern of Rb3LuP2O8. It was derived from a PBE-relaxed structure, using a wavelength of 1.5418 Å.

Top 8 peaks for 2θ = 10–80°, in order of rising 2θ:
2θ 10.66, d = 8.296 Å, intensity 17
2θ 18.10, d = 4.900 Å, intensity 17
2θ 21.06, d = 4.219 Å, intensity 18
2θ 28.19, d = 3.166 Å, intensity 100
2θ 31.63, d = 2.829 Å, intensity 67
2θ 42.87, d = 2.110 Å, intensity 35
2θ 54.24, d = 1.691 Å, intensity 30
2θ 54.89, d = 1.673 Å, intensity 24

Cell and atoms:
Cell lengths 5.6580, 5.6580, 8.2964 Å; angles 90.00, 90.00, 120.00 degrees
Element x y z (fractional)
Rb1 0.0000 0.0000 0.0000
Rb2 0.3333 0.6667 0.7596
Rb3 0.6667 0.3333 0.2404
Lu1 0.0000 0.0000 0.5000
P1 0.3333 0.6667 0.2838
P2 0.6667 0.3333 0.7162
O1 0.1830 0.3660 0.3479
O2 0.1830 0.8170 0.3479
O3 0.3333 0.6667 0.0994
O4 0.3660 0.1830 0.6521
O5 0.6340 0.8170 0.3479
O6 0.6667 0.3333 0.9006
O7 0.8170 0.1830 0.6521
O8 0.8170 0.6340 0.6521

---

Record 2
The following is a simulated powder X-ray diffraction pattern of CaH16O10. It was derived from a PBE-relaxed structure, using a wavelength of 1.5418 Å.

Top 8 peaks for 2θ = 10–80°, in order of rising 2θ:
2θ 15.00, d = 5.906 Å, intensity 58
2θ 16.06, d = 5.519 Å, intensity 100
2θ 24.89, d = 3.577 Å, intensity 61
2θ 26.05, d = 3.420 Å, intensity 44
2θ 30.45, d = 2.935 Å, intensity 54
2θ 30.95, d = 2.890 Å, intensity 57
2θ 32.45, d = 2.759 Å, intensity 48
2θ 33.79, d = 2.653 Å, intensity 47

Cell and atoms:
Cell lengths 5.9146, 6.9587, 11.0495 Å; angles 89.59, 87.38, 88.97 degrees
Element x y z (fractional)
Ca1 0.0000 0.0000 0.0000
Ca2 0.0125 0.9340 0.5198
H1 0.0210 0.2548 0.3650
H2 0.0355 0.3616 0.0921
H3 0.0376 0.5601 0.3768
H4 0.1044 0.3201 0.7909
H5 0.1438 0.7188 0.2924
H6 0.2365 0.6226 0.1125
H7 0.2674 0.3539 0.8999
H8 0.2729 0.1095 0.2215
H9 0.2944 0.3996 0.6146
H10 0.3248 0.2210 0.4056
H11 0.3313 0.8631 0.7122
H12 0.3528 0.2544 0.1134
H13 0.3562 0.5561 0.4408
H14 0.3668 0.7319 0.9054
H15 0.4575 0.9442 0.8796
H16 0.4944 0.9742 0.6208
H17 0.5195 0.9690 0.3867
H18 0.5362 0.9790 0.1175
H19 0.6276 0.5533 0.9675
H20 0.6292 0.7632 0.3936
H21 0.6309 0.2229 0.8955
H22 0.6446 0.2265 0.6146
H23 0.7021 0.9002 0.2121
H24 0.7069 0.1063 0.7721
H25 0.7073 0.6466 0.6332
H26 0.7708 0.3565 0.4050
H27 0.8476 0.3272 0.1914
H28 0.8625 0.6846 0.8066
H29 0.9573 0.5421 0.6485
H30 0.9635 0.6607 0.1339
H31 0.9643 0.2712 0.6413
H32 0.9659 0.5452 0.9017
O1 0.0739 0.3727 0.6594
O2 0.1052 0.7298 0.1393
O3 0.1213 0.2968 0.8831
O4 0.1328 0.6790 0.3807
O5 0.2352 0.1127 0.3793
O6 0.3040 0.1152 0.1309
O7 0.3206 0.8614 0.8756
O8 0.3506 0.8981 0.6252
O9 0.3864 0.4742 0.0881
O10 0.4678 0.4431 0.5928
O11 0.4714 0.5026 0.9617
O12 0.4784 0.4590 0.4599
O13 0.6680 0.8982 0.3797
O14 0.6810 0.0952 0.8666
O15 0.6838 0.9064 0.1240
O16 0.7371 0.1107 0.6326
O17 0.8646 0.6814 0.6461
O18 0.8750 0.6658 0.8960
O19 0.8777 0.3212 0.1026
O20 0.9037 0.3621 0.3488

---

Record 3
The following is a simulated powder X-ray diffraction pattern of Er2NiAs2. It was derived from a PBE-relaxed structure, using a wavelength of 1.5418 Å.

Top 8 peaks for 2θ = 10–80°, in order of rising 2θ:
2θ 26.09, d = 3.415 Å, intensity 29
2θ 31.71, d = 2.822 Å, intensity 100
2θ 35.98, d = 2.496 Å, intensity 58
2θ 40.89, d = 2.207 Å, intensity 26
2θ 44.60, d = 2.032 Å, intensity 67
2θ 55.76, d = 1.649 Å, intensity 20
2θ 70.55, d = 1.335 Å, intensity 31
2θ 74.06, d = 1.280 Å, intensity 17

Cell and atoms:
Cell lengths 4.0631, 4.0631, 14.1682 Å; angles 90.00, 90.00, 120.00 degrees
Element x y z (fractional)
Er1 0.3333 0.6667 0.1173
Er2 0.3333 0.6667 0.3827
Er3 0.6667 0.3333 0.6173
Er4 0.6667 0.3333 0.8827
Ni1 0.0000 0.0000 0.2500
Ni2 0.0000 0.0000 0.7500
As1 0.0000 0.0000 0.0000
As2 0.0000 0.0000 0.5000
As3 0.3333 0.6667 0.7500
As4 0.6667 0.3333 0.2500

---

Record 4
The following is a simulated powder X-ray diffraction pattern of PmTmRu2. It was derived from a PBE-relaxed structure, using a wavelength of 1.5418 Å.

Top 7 peaks for 2θ = 10–80°, in order of rising 2θ:
2θ 26.04, d = 3.422 Å, intensity 5
2θ 37.16, d = 2.420 Å, intensity 100
2θ 45.93, d = 1.976 Å, intensity 2
2θ 53.56, d = 1.711 Å, intensity 17
2θ 60.50, d = 1.530 Å, intensity 2
2θ 66.98, d = 1.397 Å, intensity 35
2θ 79.16, d = 1.210 Å, intensity 11

Cell and atoms:
Cell lengths 4.8395, 4.8395, 4.8395 Å; angles 60.00, 60.00, 60.00 degrees
Element x y z (fractional)
Pm1 0.0000 0.0000 0.0000
Tm1 0.5000 0.5000 0.5000
Ru1 0.2500 0.2500 0.2500
Ru2 0.7500 0.7500 0.7500